The following is a theoretical powder X-ray diffraction pattern of Np2NiO11. It was derived from a crystal structure in Alexandria, relaxed with PBE+U, using Cu Kα (weighted mean of Kα1 and Kα2).
Kinematic intensities with the Lorentz-polarization factor, no thermal factor.

Main lines, low angle first (2θ from 15° to 90°):
2θ = 15.1°, d 5.861, I = 327; 2θ = 17.9°, d 4.945, I = 1000; 2θ = 20.5°, d 4.340, I = 985; 2θ = 20.7°, d 4.285, I = 839; 2θ = 21.8°, d 4.078, I = 619; 2θ = 29.6°, d 3.017, I = 300; 2θ = 29.7°, d 3.003, I = 677; 2θ = 29.9°, d 2.985, I = 363; 2θ = 30.1°, d 2.967, I = 349; 2θ = 39.4°, d 2.287, I = 293

Atomic structure:
```
Np2NiO11
1.0
5.837 -7.207 0.000
5.837 7.207 0.000
-3.409 0.000 5.436
Np Ni O
4 2 22
Cartesian
4.133 6.137 2.718 Np
5.273 1.093 0.701 Np
3.569 -1.093 3.419 Np
5.837 -6.137 0.000 Np
2.625 3.579 0.461 Ni
0.921 -3.579 3.179 Ni
3.806 4.837 1.338 O
-1.631 0.117 4.232 O
0.073 -0.117 1.514 O
2.702 4.598 4.078 O
0.590 2.262 5.348 O
3.148 3.849 5.047 O
5.390 4.968 3.524 O
3.242 2.560 4.736 O
3.481 0.135 1.937 O
1.776 -0.135 4.655 O
5.735 2.465 1.982 O
2.294 -2.262 2.630 O
4.489 0.156 4.378 O
6.193 -0.156 1.661 O
4.947 -2.560 2.018 O
2.101 -4.837 4.056 O
4.030 -2.465 4.700 O
4.407 -4.598 1.360 O
4.853 -3.849 2.329 O
8.997 0.155 1.786 O
7.293 -0.155 4.504 O
7.094 -4.968 0.806 O
```